Starting from a structure optimized by DFT (GGA-PBE), the powder diffractogram of NpPt6Au was computed for Cu Kα.

Crystal structure
abc: 5.7594 5.7594 4.7442
angles: 90.00 90.00 120.00
Space group P-6m2 (No. 187)
Inequivalent atoms, fractional coordinates:
Np 0.0000 0.0000 0.0000 [1 per cell]
Pt 0.0027 0.5014 0.0000 [3 per cell]
Pt 0.1695 0.3390 0.5000 [3 per cell]
Au 0.6667 0.3333 0.5000 [1 per cell]

Largest 6 diffraction maxima, in order of falling intensity, 2θ = 5–70°:
2theta, d [Å], I_rel, h k l
40.88, 2.207, 100.0, 2 0 1
37.93, 2.372, 27.3, 0 0 2
36.01, 2.494, 23.6, 2 0 0
64.74, 1.440, 17.5, 2 2 0
53.30, 1.719, 15.6, 2 0 2
25.92, 3.438, 0.5, 1 0 1